Li2Mn3CoO8: computed powder X-ray diffraction pattern (Cu Kα (weighted mean of Kα1 and Kα2)), based on a structure optimized by DFT (GGA+U).
Kinematic intensities with the Lorentz-polarization factor, no thermal factor.

Structure:
```
28
Lattice="5.8274 0.0000 0.0000 0.0000 5.8307 0.0000 -0.0467 0.0000 8.4535" Properties=species:S:1:pos:R:3 pbc="T T T"
Li 1.4043 0.0000 0.9720
Li 1.4650 2.9153 3.2500
Li 4.3157 2.9153 5.2035
Li 4.3764 0.0000 7.4816
Mn 0.0000 2.9153 0.0000
Mn 1.4014 1.4761 6.2835
Mn 1.4014 4.3546 6.2835
Mn 2.8904 0.0000 4.2268
Mn 4.3793 1.4761 2.1701
Mn 4.3793 4.3546 2.1701
Co -0.0234 0.0000 4.2268
Co 2.9137 2.9153 0.0000
O 0.1140 0.0000 6.1611
O 0.1368 2.9153 6.2400
O 1.3485 1.5549 8.1847
O 1.3485 4.2758 8.1847
O 1.4380 1.2733 4.3271
O 1.4380 4.5574 4.3271
O 2.6693 2.9153 6.2872
O 2.7310 0.0000 6.1870
O 3.0497 0.0000 2.2665
O 3.1114 2.9153 2.1663
O 4.3427 1.2733 4.1264
O 4.3427 4.5574 4.1264
O 4.4322 1.5549 0.2689
O 4.4322 4.2758 0.2689
O 5.6439 2.9153 2.2135
O 5.6667 0.0000 2.2924
```

Peak list (10 most intense, 2θ = 10–80°, sorted by position)
two_theta  d_spacing  I/Imax  hkl
18.49  4.799  100.0  1 0 -1
35.36  2.538  12.7  0 1 3
36.04  2.492  22.9  1 2 1
37.45  2.402  8.6  0 2 2
42.79  2.113  18.2  0 0 4
43.93  2.061  35.2  2 2 0
58.07  1.588  9.0  3 2 -1
62.86  1.478  10.6  2 2 -4
63.14  1.473  10.1  2 2 4
63.88  1.457  10.4  0 4 0